Zr2CuHPd: computed powder XRD pattern (Cu Kα), based on a cell relaxed with GGA-PBE.
Intensities are scaled so that the largest is 100.

Atomic structure:
Unit cell a=4.3723 b=4.3723 c=3.9291 alpha=90.00 beta=90.00 gamma=90.00
Space group P4/mmm (No. 123)
One atom of each set of equivalent atoms:
Zr1 0.0000 0.5000 0.0000 x2
Cu1 0.0000 0.0000 0.5000 x1
H1 0.5000 0.5000 0.0000 x1
Pd1 0.5000 0.5000 0.5000 x1

Most intense lines, 2θ = 15–90°, most intense first:
37.00 deg, d = 2.430 Å, intensity 100, hkl 1 1 1; 41.30 deg, d = 2.186 Å, intensity 37, hkl 2 0 0; 72.47 deg, d = 1.304 Å, intensity 26, hkl 3 1 1; 63.68 deg, d = 1.461 Å, intensity 20, hkl 2 0 2; 46.21 deg, d = 1.965 Å, intensity 13, hkl 0 0 2; 59.83 deg, d = 1.546 Å, intensity 12, hkl 2 2 0